No. 1
Starting from the PBE geometry in the Materials Project, the X-ray diffraction stick pattern of MgSi was calculated for Cu Kα, 1.54184 Å.
Intensities are scaled so that the largest is 100.

Atomic structure:
```
data_MgSi
_chemical_formula_sum 'Mg6 Si6'
_cell_length_a 4.5672
_cell_length_b 5.4641
_cell_length_c 9.5797
_cell_angle_alpha 93.85
_cell_angle_beta 94.54
_cell_angle_gamma 113.58
_symmetry_space_group_name_H-M 'P -1'
_symmetry_Int_Tables_number 2
loop_
_symmetry_equiv_pos_as_xyz
'x,y,z'
'-x,-y,-z'
loop_
_atom_site_label
_atom_site_type_symbol
_atom_site_fract_x
_atom_site_fract_y
_atom_site_fract_z
Mg1 Mg 0.0240 0.1418 0.1449
Mg2 Mg 0.2666 0.4535 0.8535
Mg3 Mg 0.4487 0.8694 0.6355
Si1 Si 0.1366 0.2408 0.5575
Si2 Si 0.2404 0.5260 0.3620
Si3 Si 0.3750 0.8435 0.0918
```

Largest 10 diffraction maxima, in order of rising 2θ, 15° ≤ 2θ ≤ 90°:
33.6°, I = 18, hkl 1 0 -3
35.3°, I = 17, hkl -1 1 3
36.0°, I = 63, hkl 1 1 -2
36.3°, I = 27, hkl 1 -1 3
38.0°, I = 100, hkl 1 -2 2
39.4°, I = 70, hkl -1 2 2
39.6°, I = 71, hkl 2 -1 0
40.6°, I = 67, hkl 1 1 2
41.6°, I = 17, hkl 1 0 -4
55.3°, I = 22, hkl 0 3 0


No. 2
Starting from the PBE geometry in the Materials Project, the X-ray diffraction stick pattern of K4ZnAs2 was calculated for Cu Kα, 1.54184 Å.
Intensities are scaled so that the largest is 100.

Atomic structure:
```
data_K4ZnAs2
_chemical_formula_sum 'K12 Zn3 As6'
_cell_length_a 5.7844
_cell_length_b 5.7844
_cell_length_c 27.1517
_cell_angle_alpha 90.00
_cell_angle_beta 90.00
_cell_angle_gamma 120.00
_symmetry_space_group_name_H-M 'R -3 m'
_symmetry_Int_Tables_number 166
_symmetry_space_group_name_Hall '-R 3 2"'
loop_
_atom_site_label
_atom_site_type_symbol
_atom_site_fract_x
_atom_site_fract_y
_atom_site_fract_z
K1 K 0.0000 0.0000 0.1152
K2 K 0.0000 0.0000 0.2912
Zn1 Zn 0.0000 0.0000 0.5000
As1 As 0.0000 0.0000 0.4143
```

Largest 10 diffraction maxima, in order of rising 2θ, 15° ≤ 2θ ≤ 90°:
18.0°, I = 66, hkl 1 0 1
18.9°, I = 15, hkl 0 1 2
29.1°, I = 20, hkl 1 0 7
30.9°, I = 100, hkl 1 1 0
37.7°, I = 30, hkl 1 0 10
40.8°, I = 12, hkl 0 1 11
47.1°, I = 12, hkl 1 0 13
49.5°, I = 13, hkl 0 2 10
55.0°, I = 18, hkl 3 0 0
59.5°, I = 15, hkl 2 1 10


No. 3
Starting from the PBE geometry in the Materials Project, the X-ray diffraction stick pattern of As2O3 was calculated for Cu Kα, 1.54184 Å.
Intensities are scaled so that the largest is 100.

Atomic structure:
```
data_As2O3
_chemical_formula_sum 'As8 O12'
_cell_length_a 4.6585
_cell_length_b 13.8228
_cell_length_c 7.0469
_cell_angle_alpha 90.00
_cell_angle_beta 126.81
_cell_angle_gamma 90.00
_symmetry_space_group_name_H-M 'P 1 21/c 1'
_symmetry_Int_Tables_number 14
loop_
_symmetry_equiv_pos_as_xyz
'x,y,z'
'-x,-y,-z'
'-x,y+1/2,-z+1/2'
'x,-y+1/2,z+1/2'
loop_
_atom_site_label
_atom_site_type_symbol
_atom_site_fract_x
_atom_site_fract_y
_atom_site_fract_z
As1 As 0.1275 0.1555 0.1293
As2 As 0.2780 0.1077 0.7437
O1 O 0.0070 0.6103 0.6592
O2 O 0.1302 0.2163 0.5642
O3 O 0.3316 0.6474 0.4647
```

Largest 10 diffraction maxima, in order of rising 2θ, 15° ≤ 2θ ≤ 90°:
17.0°, I = 38, hkl 0 1 1
24.7°, I = 75, hkl 1 1 0
25.0°, I = 32, hkl 0 3 1
25.8°, I = 100, hkl 0 4 0
26.6°, I = 60, hkl 1 1 -2
30.3°, I = 28, hkl 0 4 1
32.4°, I = 24, hkl 0 1 2
38.8°, I = 30, hkl 2 0 -2
50.3°, I = 24, hkl 0 2 3
63.9°, I = 21, hkl 1 9 -1


No. 4
Starting from the PBE geometry in the Materials Project, the X-ray diffraction stick pattern of LiNb2Te4Cl10O was calculated for Cu Kα, 1.54184 Å.
Intensities are scaled so that the largest is 100.

Atomic structure:
```
data_LiNb2Te4Cl10O
_chemical_formula_sum 'Li1 Nb2 Te4 Cl10 O1'
_cell_length_a 7.0005
_cell_length_b 9.1841
_cell_length_c 9.4067
_cell_angle_alpha 81.06
_cell_angle_beta 89.67
_cell_angle_gamma 74.79
_symmetry_space_group_name_H-M 'P 1'
_symmetry_Int_Tables_number 1
loop_
_symmetry_equiv_pos_as_xyz
'x,y,z'
loop_
_atom_site_label
_atom_site_type_symbol
_atom_site_fract_x
_atom_site_fract_y
_atom_site_fract_z
Li1 Li 0.0000 0.0000 0.0000
Nb1 Nb 0.0803 0.3982 0.7772
Nb2 Nb 0.1184 0.6486 0.0624
Te1 Te 0.4056 0.1252 0.2638
Te2 Te 0.5081 0.8451 0.4358
Te3 Te 0.6757 0.2191 0.4149
Te4 Te 0.7765 0.9387 0.5882
Cl1 Cl 0.0425 0.2175 0.6258
Cl2 Cl 0.1394 0.8523 0.2268
Cl3 Cl 0.2119 0.5477 0.6011
Cl4 Cl 0.2429 0.8217 0.8839
Cl5 Cl 0.3942 0.2383 0.8553
Cl6 Cl 0.4461 0.5143 0.1443
Cl7 Cl 0.7516 0.5569 0.7056
Cl8 Cl 0.7931 0.8262 0.9985
Cl9 Cl 0.9214 0.2631 0.9735
Cl10 Cl 0.9798 0.5199 0.2519
O1 O 0.0973 0.5280 0.9254
```

Largest 10 diffraction maxima, in order of rising 2θ, 15° ≤ 2θ ≤ 90°:
15.9°, I = 100, hkl 1 0 -1
18.6°, I = 22, hkl 1 -1 0
19.9°, I = 37, hkl -1 1 1
20.2°, I = 29, hkl 0 1 2
22.0°, I = 21, hkl 1 2 1
22.8°, I = 25, hkl 1 0 -2
25.2°, I = 28, hkl -1 1 2
30.4°, I = 39, hkl 1 2 -2
33.6°, I = 30, hkl 1 2 3
45.9°, I = 27, hkl -2 3 1


No. 5
Starting from the PBE geometry in the Materials Project, the X-ray diffraction stick pattern of MgTiPbO3 was calculated for Cu Kα, 1.54184 Å.
Intensities are scaled so that the largest is 100.

Atomic structure:
```
data_MgTiPbO3
_chemical_formula_sum 'Mg1 Ti1 Pb1 O3'
_cell_length_a 3.7335
_cell_length_b 3.7335
_cell_length_c 7.0194
_cell_angle_alpha 90.00
_cell_angle_beta 90.00
_cell_angle_gamma 90.00
_symmetry_space_group_name_H-M 'P 4 m m'
_symmetry_Int_Tables_number 99
loop_
_symmetry_equiv_pos_as_xyz
'x,y,z'
'-y,x,z'
'-x,-y,z'
'y,-x,z'
'-x,y,z'
'y,x,z'
'x,-y,z'
'-y,-x,z'
loop_
_atom_site_label
_atom_site_type_symbol
_atom_site_fract_x
_atom_site_fract_y
_atom_site_fract_z
Mg1 Mg 0.0000 0.0000 0.0000
Ti1 Ti 0.5000 0.5000 0.7747
Pb1 Pb 0.0000 0.0000 0.4480
O1 O 0.0000 0.5000 0.8874
O2 O 0.5000 0.5000 0.5154
```

Largest 10 diffraction maxima, in order of rising 2θ, 15° ≤ 2θ ≤ 90°:
23.8°, I = 48, hkl 1 0 0
25.4°, I = 44, hkl 0 0 2
27.1°, I = 100, hkl 1 0 1
34.0°, I = 50, hkl 1 1 0
35.1°, I = 81, hkl 1 0 2
36.4°, I = 52, hkl 1 1 1
42.9°, I = 28, hkl 1 1 2
48.8°, I = 28, hkl 2 0 0
52.2°, I = 29, hkl 1 1 3
61.5°, I = 33, hkl 2 1 2


No. 6
Starting from the PBE geometry in the Materials Project, the X-ray diffraction stick pattern of CsAs2Ir2 was calculated for Cu Kα, 1.54184 Å.
Intensities are scaled so that the largest is 100.

Atomic structure:
```
data_CsAs2Ir2
_chemical_formula_sum 'Cs2 As4 Ir4'
_cell_length_a 4.0697
_cell_length_b 4.0697
_cell_length_c 14.9746
_cell_angle_alpha 90.00
_cell_angle_beta 90.00
_cell_angle_gamma 90.00
_symmetry_space_group_name_H-M 'I 4/m m m'
_symmetry_Int_Tables_number 139
_symmetry_space_group_name_Hall '-I 4 2'
loop_
_atom_site_label
_atom_site_type_symbol
_atom_site_fract_x
_atom_site_fract_y
_atom_site_fract_z
Cs1 Cs 0.0000 0.0000 0.0000
As1 As 0.0000 0.0000 0.3432
Ir1 Ir 0.0000 0.5000 0.2500
```

Largest 10 diffraction maxima, in order of rising 2θ, 15° ≤ 2θ ≤ 90°:
23.8°, I = 47, hkl 0 0 4
28.3°, I = 62, hkl 1 0 3
33.4°, I = 100, hkl 1 1 2
39.5°, I = 40, hkl 1 1 4
44.5°, I = 49, hkl 2 0 0
48.3°, I = 76, hkl 1 1 6
51.1°, I = 24, hkl 2 0 4
53.6°, I = 20, hkl 2 1 3
74.9°, I = 20, hkl 3 1 2
84.7°, I = 31, hkl 3 1 6


No. 7
Starting from the PBE geometry in the Materials Project, the X-ray diffraction stick pattern of HoFe10Mo2 was calculated for Cu Kα, 1.54184 Å.
Intensities are scaled so that the largest is 100.

Atomic structure:
```
data_HoFe10Mo2
_chemical_formula_sum 'Ho2 Fe20 Mo4'
_cell_length_a 4.7251
_cell_length_b 8.5304
_cell_length_c 8.5858
_cell_angle_alpha 90.00
_cell_angle_beta 90.00
_cell_angle_gamma 90.00
_symmetry_space_group_name_H-M 'I m m m'
_symmetry_Int_Tables_number 71
_symmetry_space_group_name_Hall '-I 2 2'
loop_
_atom_site_label
_atom_site_type_symbol
_atom_site_fract_x
_atom_site_fract_y
_atom_site_fract_z
Ho1 Ho 0.0000 0.0000 0.0000
Fe1 Fe 0.0000 0.2831 0.5000
Fe2 Fe 0.0000 0.3574 0.0000
Fe3 Fe 0.0000 0.5000 0.2751
Fe4 Fe 0.2500 0.2500 0.2500
Mo1 Mo 0.0000 0.0000 0.3575
```

Largest 10 diffraction maxima, in order of rising 2θ, 15° ≤ 2θ ≤ 90°:
30.0°, I = 19, hkl 1 1 2
36.7°, I = 30, hkl 1 0 3
36.9°, I = 33, hkl 1 3 0
38.1°, I = 20, hkl 2 0 0
42.1°, I = 20, hkl 0 0 4
42.4°, I = 30, hkl 0 4 0
42.6°, I = 100, hkl 1 2 3
43.8°, I = 67, hkl 2 2 0
48.9°, I = 21, hkl 2 2 2
71.9°, I = 20, hkl 3 2 3